KLi6IrO6: computed X-ray diffraction stick pattern (Cu Kα X-rays), based on a structure optimized by DFT (PBE).

Peak list (10 most intense, 2θ from 5° to 70°, in order of falling intensity)
(hkl)  d_spacing  I/Imax
1 0 1  5.089  100.0
0 1 2  3.219  99.0
1 1 0  4.143  97.0
1 2 2  2.168  64.6
2 0 2  2.543  32.4
3 0 0  2.392  24.0
0 4 2  1.606  21.0
0 3 3  1.696  19.1
2 1 4  1.502  18.9
3 1 2  1.743  18.3

Cell: 8.2868 8.2868 7.2173 Å, 90.00 90.00 120.00°
Space group R-3m (No. 166, hexagonal axes)
Unique sites:
K (0.0000, 0.0000, 0.0000) (multiplicity 3)
Li (0.0000, 0.3382, 0.5000) (multiplicity 18)
Ir (0.0000, 0.0000, 0.5000) (multiplicity 3)
O (0.0991, 0.5496, 0.3239) (multiplicity 18)